Diffraction record for MgTl4V4Te4O20. The powder X-ray diffraction pattern is calculated, not measured: it uses the PBE+U geometry in the Materials Project and Cu Kα, 1.54184 Å.

a b c (Å): 7.308 8.118 9.305
angles (deg): 86.28 86.37 84.44
Fractional coordinates of all 33 atoms:
Mg (0.000, 0.000, 0.000)
Tl (0.319, 0.440, 0.367)
Tl (0.319, 0.928, 0.585)
Tl (0.776, 0.897, 0.807)
Tl (0.814, 0.434, 0.072)
V (0.074, 0.083, 0.261)
V (0.119, 0.527, 0.722)
V (0.578, 0.065, 0.232)
V (0.603, 0.561, 0.715)
Te (0.347, 0.782, 0.033)
Te (0.349, 0.255, 0.945)
Te (0.806, 0.253, 0.508)
Te (0.867, 0.753, 0.436)
O (0.079, 0.679, 0.555)
O (0.115, 0.339, 0.659)
O (0.123, 0.197, 0.052)
O (0.128, 0.865, 0.165)
O (0.198, 0.870, 0.881)
O (0.229, 0.478, 0.905)
O (0.300, 0.092, 0.305)
O (0.383, 0.582, 0.653)
O (0.481, 0.294, 0.106)
O (0.487, 0.971, 0.043)
O (0.558, 0.702, 0.862)
O (0.605, 0.212, 0.397)
O (0.609, 0.870, 0.317)
O (0.621, 0.369, 0.801)
O (0.694, 0.788, 0.597)
O (0.731, 0.487, 0.529)
O (0.825, 0.087, 0.155)
O (0.900, 0.582, 0.794)
O (0.950, 0.977, 0.434)
O (0.975, 0.297, 0.349)

Largest 12 diffraction maxima, in order of falling intensity, 10° ≤ 2θ ≤ 80°:
| two_theta | I (rel.) | (hkl) |
| --- | --- | --- |
| 25.9 | 100 | -1 1 2 |
| 24.5 | 42 | 2 0 0 |
| 28.2 | 36 | 1 -2 1 |
| 23.7 | 35 | 1 1 2 |
| 31.6 | 35 | 2 2 0 |
| 26.8 | 30 | 1 2 -1 |
| 32.1 | 26 | 1 0 -3 |
| 25.3 | 25 | 1 2 1 |
| 27.8 | 24 | -1 2 1 |
| 22.0 | 22 | 0 2 0 |
| 30.8 | 20 | 1 0 3 |
| 46.3 | 19 | 3 -2 1 |